Starting from the PBE+U geometry in the Materials Project, the powder X-ray diffraction pattern of BaDyFe4O7 was computed for copper Kα.
Intensities are scaled so that the largest is 100.

The 10 most intense peaks (2θ from 10° to 90°), by angle:
- 27.27°, I = 66, (1 2 -1)
- 27.66°, I = 100, (1 2 1)
- 31.81°, I = 55, (0 3 1)
- 31.97°, I = 56, (1 3 0)
- 32.31°, I = 48, (1 1 -2)
- 32.76°, I = 64, (2 1 -1)
- 32.97°, I = 59, (1 1 2)
- 33.42°, I = 42, (2 1 1)
- 56.25°, I = 39, (2 4 -2)
- 57.12°, I = 52, (2 4 2)

Atomic structure:
abc: 6.2947 9.3784 6.4487
angles: 90.00 91.52 90.00
Positions (direct):
Ba (0.2384, 0.0000, 0.2290)
Ba (0.7616, 0.5000, 0.7710)
Dy (0.2544, 0.2504, 0.7507)
Dy (0.7456, 0.7504, 0.2493)
Fe (0.0052, 0.8669, 0.7678)
Fe (0.2303, 0.6209, 0.5081)
Fe (0.2720, 0.6236, 0.0017)
Fe (0.4810, 0.8559, 0.7184)
Fe (0.5190, 0.3559, 0.2816)
Fe (0.7280, 0.1236, 0.9983)
Fe (0.7697, 0.1209, 0.4919)
Fe (0.9948, 0.3669, 0.2322)
O (0.0314, 0.7719, 0.0333)
O (0.0507, 0.2292, 0.4486)
O (0.2281, 0.4898, 0.7516)
O (0.2369, 0.9989, 0.7630)
O (0.2452, 0.4888, 0.2494)
O (0.4414, 0.7761, 0.4368)
O (0.4594, 0.2252, 0.0444)
O (0.5406, 0.7252, 0.9556)
O (0.5586, 0.2761, 0.5632)
O (0.7548, 0.9888, 0.7506)
O (0.7631, 0.4989, 0.2370)
O (0.7719, 0.9898, 0.2484)
O (0.9493, 0.7292, 0.5514)
O (0.9686, 0.2719, 0.9667)